Entry 1:
Diffraction record for NpRe2. The powder X-ray diffraction pattern is computed, not measured: it uses a PBE-relaxed structure and Cu Kα.

Principal peaks in the range 10 to 90 degrees two-theta, low angle first:
hkl 1 1 3, 2θ 35.07, I = 80.4
hkl 0 0 4, 2θ 38.30, I = 37.3
hkl 1 3 2, 2θ 39.80, I = 100.0
hkl 2 0 2, 2θ 40.19, I = 52.6
hkl 2 2 1, 2θ 41.81, I = 59.1
hkl 2 2 5, 2θ 65.00, I = 34.0

Cell and atoms:
```
data_NpRe2
_symmetry_space_group_name_H-M 'C m c m'
_symmetry_Int_Tables_number 63
_symmetry_space_group_name_Hall '-C 2c 2'
_cell_length_a 5.1068
_cell_length_b 8.9905
_cell_length_c 9.4007
_cell_angle_alpha 90.00
_cell_angle_beta 90.00
_cell_angle_gamma 90.00
loop_
_atom_site_label
_atom_site_type_symbol
_atom_site_fract_x
_atom_site_fract_y
_atom_site_fract_z
Np1 Np 0.0000 0.1690 0.0526
Re1 Re 0.0000 0.3309 0.7500
Re2 Re 0.0000 0.5000 0.0000
Re3 Re 0.2466 0.0836 0.7500
```

---

Entry 2:
Diffraction record for NpRh3. The powder X-ray diffraction pattern is computed, not measured: it uses a PBE-relaxed structure and Cu Kα.

Principal peaks in the range 10 to 90 degrees two-theta, low angle first:
hkl 1 0 0, 2θ 22.17, I = 15.5
hkl 1 1 0, 2θ 31.56, I = 13.5
hkl 1 1 1, 2θ 38.91, I = 100.0
hkl 2 0 0, 2θ 45.24, I = 48.9
hkl 2 2 0, 2θ 65.90, I = 31.8
hkl 3 1 1, 2θ 79.26, I = 37.8

Cell and atoms:
```
data_NpRh3
_symmetry_space_group_name_H-M 'P m -3 m'
_symmetry_Int_Tables_number 221
_symmetry_space_group_name_Hall '-P 4 2 3'
_cell_length_a 4.0088
_cell_length_b 4.0088
_cell_length_c 4.0088
_cell_angle_alpha 90.00
_cell_angle_beta 90.00
_cell_angle_gamma 90.00
loop_
_atom_site_label
_atom_site_type_symbol
_atom_site_fract_x
_atom_site_fract_y
_atom_site_fract_z
Np1 Np 0.0000 0.0000 0.0000
Rh1 Rh 0.0000 0.5000 0.5000
```

---

Entry 3:
Diffraction record for NpSnRh2. The powder X-ray diffraction pattern is computed, not measured: it uses a PBE-relaxed structure and Cu Kα.

Principal peaks in the range 10 to 90 degrees two-theta, low angle first:
hkl 1 1 1, 2θ 23.14, I = 8.9
hkl 2 0 0, 2θ 26.78, I = 7.5
hkl 2 2 0, 2θ 38.23, I = 100.0
hkl 4 0 0, 2θ 55.18, I = 17.4
hkl 4 2 2, 2θ 69.12, I = 35.7
hkl 4 4 0, 2θ 81.84, I = 11.4

Cell and atoms:
```
data_NpSnRh2
_symmetry_space_group_name_H-M 'F m -3 m'
_symmetry_Int_Tables_number 225
_symmetry_space_group_name_Hall '-F 4 2 3'
_cell_length_a 6.6580
_cell_length_b 6.6580
_cell_length_c 6.6580
_cell_angle_alpha 90.00
_cell_angle_beta 90.00
_cell_angle_gamma 90.00
loop_
_atom_site_label
_atom_site_type_symbol
_atom_site_fract_x
_atom_site_fract_y
_atom_site_fract_z
Np1 Np 0.0000 0.0000 0.0000
Sn1 Sn 0.0000 0.0000 0.5000
Rh1 Rh 0.2500 0.2500 0.2500
```

---

Entry 4:
Diffraction record for NpRu2. The powder X-ray diffraction pattern is computed, not measured: it uses a PBE-relaxed structure and Cu Kα.

Principal peaks in the range 10 to 90 degrees two-theta, low angle first:
hkl 2 2 0, 2θ 34.29, I = 58.8
hkl 3 1 1, 2θ 40.44, I = 100.0
hkl 2 2 2, 2θ 42.33, I = 17.3
hkl 4 2 2, 2θ 61.40, I = 22.9
hkl 5 1 1, 2θ 65.58, I = 32.3
hkl 4 4 0, 2θ 72.25, I = 24.4

Cell and atoms:
Cell lengths 7.3973, 7.3973, 7.3973 Å; angles 90.00, 90.00, 90.00 degrees
Space group Fd-3m (No. 227, origin choice 2)
Symmetry-distinct sites (fractional):
Np: 0.1250 0.1250 0.1250
Ru: 0.0000 0.0000 0.5000

---

Entry 5:
Diffraction record for NpScRu2. The powder X-ray diffraction pattern is computed, not measured: it uses a PBE-relaxed structure and Cu Kα.

Principal peaks in the range 10 to 90 degrees two-theta, low angle first:
hkl 1 1 1, 2θ 23.50, I = 35.1
hkl 2 2 0, 2θ 38.84, I = 100.0
hkl 3 1 1, 2θ 45.89, I = 19.4
hkl 4 0 0, 2θ 56.09, I = 17.1
hkl 4 2 2, 2θ 70.32, I = 34.5
hkl 4 4 0, 2θ 83.36, I = 11.0

Cell and atoms:
```
data_NpScRu2
_symmetry_space_group_name_H-M 'F m -3 m'
_symmetry_Int_Tables_number 225
_symmetry_space_group_name_Hall '-F 4 2 3'
_cell_length_a 6.5582
_cell_length_b 6.5582
_cell_length_c 6.5582
_cell_angle_alpha 90.00
_cell_angle_beta 90.00
_cell_angle_gamma 90.00
loop_
_atom_site_label
_atom_site_type_symbol
_atom_site_fract_x
_atom_site_fract_y
_atom_site_fract_z
Np1 Np 0.0000 0.0000 0.0000
Sc1 Sc 0.0000 0.0000 0.5000
Ru1 Ru 0.2500 0.2500 0.2500
```

---

Entry 6:
Diffraction record for TmNpRu2. The powder X-ray diffraction pattern is computed, not measured: it uses a PBE-relaxed structure and Cu Kα.

Principal peaks in the range 10 to 90 degrees two-theta, low angle first:
hkl 2 0 0, 2θ 26.47, I = 12.3
hkl 2 2 0, 2θ 37.79, I = 100.0
hkl 4 0 0, 2θ 54.51, I = 17.4
hkl 4 2 0, 2θ 61.60, I = 5.3
hkl 4 2 2, 2θ 68.24, I = 35.6
hkl 4 4 0, 2θ 80.73, I = 11.2

Cell and atoms:
```
data_TmNpRu2
_symmetry_space_group_name_H-M 'F m -3 m'
_symmetry_Int_Tables_number 225
_symmetry_space_group_name_Hall '-F 4 2 3'
_cell_length_a 6.7334
_cell_length_b 6.7334
_cell_length_c 6.7334
_cell_angle_alpha 90.00
_cell_angle_beta 90.00
_cell_angle_gamma 90.00
loop_
_atom_site_label
_atom_site_type_symbol
_atom_site_fract_x
_atom_site_fract_y
_atom_site_fract_z
Tm1 Tm 0.0000 0.0000 0.0000
Np1 Np 0.0000 0.0000 0.5000
Ru1 Ru 0.2500 0.2500 0.2500
```

---

Entry 7:
Diffraction record for Np3S5. The powder X-ray diffraction pattern is computed, not measured: it uses a PBE-relaxed structure and Cu Kα.

Principal peaks in the range 10 to 90 degrees two-theta, low angle first:
hkl 0 0 2, 2θ 24.36, I = 47.6
hkl 3 0 1, 2θ 26.26, I = 100.0
hkl 1 2 1, 2θ 26.74, I = 70.2
hkl 2 2 0, 2θ 27.34, I = 60.0
hkl 2 2 2, 2θ 36.94, I = 57.7
hkl 6 0 0, 2θ 47.39, I = 52.3

Cell and atoms:
```
data_Np3S5
_symmetry_space_group_name_H-M 'P n m a'
_symmetry_Int_Tables_number 62
_cell_length_a 11.4965
_cell_length_b 7.9235
_cell_length_c 7.3090
_cell_angle_alpha 90.00
_cell_angle_beta 90.00
_cell_angle_gamma 90.00
loop_
_symmetry_equiv_pos_as_xyz
'x,y,z'
'-x,-y,-z'
'-x+1/2,-y,z+1/2'
'x+1/2,y,-z+1/2'
'x+1/2,-y+1/2,-z+1/2'
'-x+1/2,y+1/2,z+1/2'
'-x,y+1/2,-z'
'x,-y+1/2,z'
loop_
_atom_site_label
_atom_site_type_symbol
_atom_site_fract_x
_atom_site_fract_y
_atom_site_fract_z
Np1 Np 0.0085 0.2500 0.0775
Np2 Np 0.1787 0.0029 0.5227
S1 S 0.0006 0.7500 0.5372
S2 S 0.0963 0.5482 0.1701
S3 S 0.1914 0.2500 0.8309
S4 S 0.2179 0.7500 0.8007
```

---

Entry 8:
Diffraction record for NpSb2. The powder X-ray diffraction pattern is computed, not measured: it uses a PBE-relaxed structure and Cu Kα.

Principal peaks in the range 10 to 90 degrees two-theta, low angle first:
hkl 2 0 2, 2θ 30.76, I = 35.4
hkl 0 0 6, 2θ 31.11, I = 37.2
hkl 0 2 3, 2θ 33.12, I = 100.0
hkl 2 0 4, 2θ 35.77, I = 47.3
hkl 2 2 1, 2θ 41.86, I = 51.7
hkl 2 2 7, 2θ 56.43, I = 23.9

Cell and atoms:
```
data_NpSb2
_symmetry_space_group_name_H-M 'C m c e'
_symmetry_Int_Tables_number 64
_symmetry_space_group_name_Hall '-C 2ac 2'
_cell_length_a 6.1746
_cell_length_b 6.1309
_cell_length_c 17.2480
_cell_angle_alpha 90.00
_cell_angle_beta 90.00
_cell_angle_gamma 90.00
loop_
_atom_site_label
_atom_site_type_symbol
_atom_site_fract_x
_atom_site_fract_y
_atom_site_fract_z
Np1 Np 0.0000 0.1393 0.1077
Sb1 Sb 0.0000 0.1402 0.4305
Sb2 Sb 0.2500 0.1224 0.7500
```

---

Entry 9:
Diffraction record for NpScTc2. The powder X-ray diffraction pattern is computed, not measured: it uses a PBE-relaxed structure and Cu Kα.

Principal peaks in the range 10 to 90 degrees two-theta, low angle first:
hkl 1 1 1, 2θ 23.40, I = 35.8
hkl 2 2 0, 2θ 38.67, I = 100.0
hkl 3 1 1, 2θ 45.69, I = 19.8
hkl 4 0 0, 2θ 55.84, I = 17.1
hkl 4 2 2, 2θ 69.99, I = 34.5
hkl 4 4 0, 2θ 82.94, I = 10.9

Cell and atoms:
```
data_NpScTc2
_symmetry_space_group_name_H-M 'F m -3 m'
_symmetry_Int_Tables_number 225
_symmetry_space_group_name_Hall '-F 4 2 3'
_cell_length_a 6.5854
_cell_length_b 6.5854
_cell_length_c 6.5854
_cell_angle_alpha 90.00
_cell_angle_beta 90.00
_cell_angle_gamma 90.00
loop_
_atom_site_label
_atom_site_type_symbol
_atom_site_fract_x
_atom_site_fract_y
_atom_site_fract_z
Np1 Np 0.0000 0.0000 0.0000
Sc1 Sc 0.0000 0.0000 0.5000
Tc1 Tc 0.2500 0.2500 0.2500
```

---

Entry 10:
Diffraction record for NpSe. The powder X-ray diffraction pattern is computed, not measured: it uses a PBE-relaxed structure and Cu Kα.

Principal peaks in the range 10 to 90 degrees two-theta, low angle first:
hkl 1 1 1, 2θ 26.58, I = 44.6
hkl 2 0 0, 2θ 30.79, I = 100.0
hkl 2 2 0, 2θ 44.10, I = 75.7
hkl 2 2 2, 2θ 54.75, I = 27.0
hkl 4 2 0, 2θ 72.83, I = 35.1
hkl 4 2 2, 2θ 81.12, I = 26.6

Cell and atoms:
```
data_NpSe
_symmetry_space_group_name_H-M 'F m -3 m'
_symmetry_Int_Tables_number 225
_symmetry_space_group_name_Hall '-F 4 2 3'
_cell_length_a 5.8080
_cell_length_b 5.8080
_cell_length_c 5.8080
_cell_angle_alpha 90.00
_cell_angle_beta 90.00
_cell_angle_gamma 90.00
loop_
_atom_site_label
_atom_site_type_symbol
_atom_site_fract_x
_atom_site_fract_y
_atom_site_fract_z
Np1 Np 0.0000 0.0000 0.0000
Se1 Se 0.0000 0.0000 0.5000
```

---

Entry 11:
Diffraction record for Np3Se4. The powder X-ray diffraction pattern is computed, not measured: it uses a PBE-relaxed structure and Cu Kα.

Principal peaks in the range 10 to 90 degrees two-theta, low angle first:
hkl 2 1 1, 2θ 25.98, I = 66.1
hkl 3 1 0, 2θ 33.74, I = 100.0
hkl 3 2 1, 2θ 40.16, I = 66.2
hkl 4 2 0, 2θ 48.46, I = 35.0
hkl 6 1 1, 2θ 68.89, I = 36.4
hkl 7 2 1, 2θ 84.80, I = 25.8

Cell and atoms:
```
data_Np3Se4
_symmetry_space_group_name_H-M 'I -4 3 d'
_symmetry_Int_Tables_number 220
_symmetry_space_group_name_Hall 'I -4bd 2c 3'
_cell_length_a 8.4014
_cell_length_b 8.4014
_cell_length_c 8.4014
_cell_angle_alpha 90.00
_cell_angle_beta 90.00
_cell_angle_gamma 90.00
loop_
_atom_site_label
_atom_site_type_symbol
_atom_site_fract_x
_atom_site_fract_y
_atom_site_fract_z
Np1 Np 0.0000 0.2500 0.8750
Se1 Se 0.0768 0.4232 0.5768
```

---

Entry 12:
Diffraction record for NpSi3. The powder X-ray diffraction pattern is computed, not measured: it uses a PBE-relaxed structure and Cu Kα.

Principal peaks in the range 10 to 90 degrees two-theta, low angle first:
hkl 1 0 0, 2θ 22.20, I = 100.0
hkl 1 1 0, 2θ 31.61, I = 85.4
hkl 1 1 1, 2θ 38.97, I = 80.2
hkl 2 0 0, 2θ 45.30, I = 39.3
hkl 2 1 0, 2θ 51.01, I = 47.1
hkl 2 1 1, 2θ 56.29, I = 35.4

Cell and atoms:
```
data_NpSi3
_symmetry_space_group_name_H-M 'P m -3 m'
_symmetry_Int_Tables_number 221
_symmetry_space_group_name_Hall '-P 4 2 3'
_cell_length_a 4.0035
_cell_length_b 4.0035
_cell_length_c 4.0035
_cell_angle_alpha 90.00
_cell_angle_beta 90.00
_cell_angle_gamma 90.00
loop_
_atom_site_label
_atom_site_type_symbol
_atom_site_fract_x
_atom_site_fract_y
_atom_site_fract_z
Np1 Np 0.0000 0.0000 0.0000
Si1 Si 0.0000 0.5000 0.5000
```

---

Entry 13:
Diffraction record for TbNp3. The powder X-ray diffraction pattern is computed, not measured: it uses a PBE-relaxed structure and Cu Kα.

Principal peaks in the range 10 to 90 degrees two-theta, low angle first:
hkl 1 1 2, 2θ 33.81, I = 100.0
hkl 0 0 4, 2θ 39.01, I = 17.1
hkl 2 0 0, 2θ 39.35, I = 33.3
hkl 2 0 4, 2θ 56.61, I = 23.7
hkl 1 1 6, 2θ 67.36, I = 14.2
hkl 3 1 2, 2θ 67.82, I = 27.8

Cell and atoms:
```
data_TbNp3
_symmetry_space_group_name_H-M 'I 4/m m m'
_symmetry_Int_Tables_number 139
_symmetry_space_group_name_Hall '-I 4 2'
_cell_length_a 4.5798
_cell_length_b 4.5798
_cell_length_c 9.2353
_cell_angle_alpha 90.00
_cell_angle_beta 90.00
_cell_angle_gamma 90.00
loop_
_atom_site_label
_atom_site_type_symbol
_atom_site_fract_x
_atom_site_fract_y
_atom_site_fract_z
Tb1 Tb 0.0000 0.0000 0.0000
Np1 Np 0.0000 0.0000 0.5000
Np2 Np 0.0000 0.5000 0.2500
```

---

Entry 14:
Diffraction record for NpTe2. The powder X-ray diffraction pattern is computed, not measured: it uses a PBE-relaxed structure and Cu Kα.

Principal peaks in the range 10 to 90 degrees two-theta, low angle first:
hkl 1 0 1, 2θ 22.43, I = 40.6
hkl 0 0 3, 2θ 30.26, I = 85.9
hkl 1 1 2, 2θ 35.08, I = 100.0
hkl 1 0 3, 2θ 36.58, I = 53.2
hkl 2 0 0, 2θ 40.71, I = 62.3
hkl 1 0 5, 2θ 55.89, I = 50.5

Cell and atoms:
```
data_NpTe2
_symmetry_space_group_name_H-M 'P 4/n m m'
_symmetry_Int_Tables_number 129
_cell_length_a 4.4338
_cell_length_b 4.4338
_cell_length_c 8.8511
_cell_angle_alpha 90.00
_cell_angle_beta 90.00
_cell_angle_gamma 90.00
loop_
_symmetry_equiv_pos_as_xyz
'x,y,z'
'-x,-y,-z'
'-y+1/2,x,z'
'y+1/2,-x,-z'
'-x+1/2,-y+1/2,z'
'x+1/2,y+1/2,-z'
'y,-x+1/2,z'
'-y,x+1/2,-z'
'x+1/2,-y,-z'
'-x+1/2,y,z'
'-y,-x,-z'
'y,x,z'
'-x,y+1/2,-z'
'x,-y+1/2,z'
'y+1/2,x+1/2,-z'
'-y+1/2,-x+1/2,z'
loop_
_atom_site_label
_atom_site_type_symbol
_atom_site_fract_x
_atom_site_fract_y
_atom_site_fract_z
Np1 Np 0.2500 0.2500 0.2311
Te1 Te 0.2500 0.2500 0.8633
Te2 Te 0.2500 0.7500 0.5000
```

---

Entry 15:
Diffraction record for ZrNp3. The powder X-ray diffraction pattern is computed, not measured: it uses a PBE-relaxed structure and Cu Kα.

Principal peaks in the range 10 to 90 degrees two-theta, low angle first:
hkl 1 1 2, 2θ 35.03, I = 100.0
hkl 0 0 4, 2θ 38.56, I = 19.3
hkl 2 0 0, 2θ 41.69, I = 31.2
hkl 2 0 4, 2θ 58.08, I = 24.0
hkl 1 1 6, 2θ 67.50, I = 15.4
hkl 3 1 2, 2θ 71.79, I = 25.8

Cell and atoms:
```
data_ZrNp3
_symmetry_space_group_name_H-M 'I 4/m m m'
_symmetry_Int_Tables_number 139
_symmetry_space_group_name_Hall '-I 4 2'
_cell_length_a 4.3333
_cell_length_b 4.3333
_cell_length_c 9.3385
_cell_angle_alpha 90.00
_cell_angle_beta 90.00
_cell_angle_gamma 90.00
loop_
_atom_site_label
_atom_site_type_symbol
_atom_site_fract_x
_atom_site_fract_y
_atom_site_fract_z
Zr1 Zr 0.0000 0.0000 0.0000
Np1 Np 0.0000 0.0000 0.5000
Np2 Np 0.0000 0.5000 0.2500
```